Computed powder diffraction line list
Compound: Sm4B3Rh12Pb
Radiation: Cu Kα X-rays
Structure: a structure optimized by DFT (PBE)
Kinematic intensities with the Lorentz-polarization factor, no thermal factor.

Cell and atoms:
```
Sm4B3Rh12Pb
1.0
-4.413 4.413 4.413
4.413 -4.413 4.413
4.413 4.413 -4.413
Sm B Rh Pb
4 3 12 1
Cartesian
2.207 2.207 -2.207 Sm
2.207 -2.207 2.207 Sm
-2.207 2.207 2.207 Sm
2.207 2.207 2.207 Sm
4.413 0.000 0.000 B
0.000 4.413 0.000 B
0.000 0.000 4.413 B
2.499 0.000 0.000 Rh
6.327 0.000 0.000 Rh
4.413 2.207 0.000 Rh
4.413 0.000 2.207 Rh
0.000 2.499 0.000 Rh
0.000 0.000 2.499 Rh
2.207 4.413 0.000 Rh
2.207 0.000 4.413 Rh
0.000 6.327 0.000 Rh
0.000 0.000 6.327 Rh
0.000 4.413 2.207 Rh
0.000 2.207 4.413 Rh
0.000 0.000 0.000 Pb
```

Most intense lines, 10° ≤ 2θ ≤ 90°, in order of falling intensity:
- d = 2.548 Å, 2θ 35.22, I = 100
- d = 2.207 Å, 2θ 40.90, I = 81
- d = 1.560 Å, 2θ 59.22, I = 50
- d = 1.331 Å, 2θ 70.81, I = 32
- d = 3.121 Å, 2θ 28.60, I = 20
- d = 2.359 Å, 2θ 38.15, I = 17
- d = 1.274 Å, 2θ 74.47, I = 16
- d = 2.791 Å, 2θ 32.07, I = 12

---

Computed powder diffraction line list
Compound: Pm2CoSn6
Radiation: Cu Kα X-rays
Structure: a structure optimized by DFT (PBE)
Kinematic intensities with the Lorentz-polarization factor, no thermal factor.

Cell and atoms:
```
Pm2CoSn6
1.0
4.451 0.000 0.000
0.000 2.221 11.721
0.000 -2.221 11.721
Pm Co Sn
2 1 6
Cartesian
0.000 0.000 0.000 Pm
0.000 0.000 7.987 Pm
2.225 0.000 13.093 Co
0.000 0.000 14.322 Sn
0.000 0.000 17.238 Sn
2.225 0.000 2.597 Sn
2.225 0.000 5.531 Sn
2.225 0.000 10.638 Sn
2.225 0.000 20.428 Sn
```

Most intense lines, 10° ≤ 2θ ≤ 90°, in order of falling intensity:
- d = 2.917 Å, 2θ 30.65, I = 100
- d = 2.223 Å, 2θ 40.58, I = 60
- d = 2.611 Å, 2θ 34.34, I = 45
- d = 2.932 Å, 2θ 30.49, I = 41
- d = 1.771 Å, 2θ 51.60, I = 33
- d = 1.572 Å, 2θ 58.73, I = 21
- d = 2.292 Å, 2θ 39.30, I = 17
- d = 1.385 Å, 2θ 67.62, I = 14

---

Computed powder diffraction line list
Compound: BaNb3Sb
Radiation: Cu Kα X-rays
Structure: a structure optimized by DFT (PBE)
Kinematic intensities with the Lorentz-polarization factor, no thermal factor.

Cell and atoms:
```
BaNb3Sb
1.0
5.245 0.000 0.000
0.000 5.245 0.000
0.000 0.000 5.245
Ba Nb Sb
1 3 1
Cartesian
0.000 0.000 0.000 Ba
0.000 2.623 2.623 Nb
2.623 0.000 2.623 Nb
2.623 2.623 0.000 Nb
2.623 2.623 2.623 Sb
```

Most intense lines, 10° ≤ 2θ ≤ 90°, in order of falling intensity:
- d = 2.623 Å, 2θ 34.19, I = 100
- d = 1.855 Å, 2θ 49.13, I = 70
- d = 3.028 Å, 2θ 29.50, I = 61
- d = 3.709 Å, 2θ 23.99, I = 42
- d = 1.173 Å, 2θ 82.18, I = 31
- d = 1.582 Å, 2θ 58.35, I = 25
- d = 1.514 Å, 2θ 61.21, I = 24
- d = 2.141 Å, 2θ 42.20, I = 19

---

Computed powder diffraction line list
Compound: Sm4Er3Sc2
Radiation: Cu Kα X-rays
Structure: a structure optimized by DFT (PBE)
Kinematic intensities with the Lorentz-polarization factor, no thermal factor.

Cell and atoms:
```
Sm4Er3Sc2
1.0
4.746 -8.346 0.000
4.746 8.346 0.000
0.000 0.000 6.931
Sm Er Sc
8 6 4
Cartesian
1.583 0.258 0.000 Sm
3.069 2.677 3.466 Sm
1.583 -0.258 3.466 Sm
3.069 -2.677 0.000 Sm
6.423 2.677 0.000 Sm
7.909 0.258 3.466 Sm
6.423 -2.677 3.466 Sm
7.909 -0.258 0.000 Sm
4.746 5.434 1.733 Er
4.746 5.434 5.198 Er
4.746 0.000 1.733 Er
4.746 0.000 5.198 Er
4.746 -5.434 1.733 Er
4.746 -5.434 5.198 Er
3.257 2.912 0.000 Sc
6.235 2.912 3.466 Sc
3.257 -2.912 3.466 Sc
6.235 -2.912 0.000 Sc
```

Most intense lines, 10° ≤ 2θ ≤ 90°, in order of falling intensity:
- d = 2.810 Å, 2θ 31.85, I = 100
- d = 2.750 Å, 2θ 32.56, I = 95
- d = 2.799 Å, 2θ 31.98, I = 55
- d = 2.782 Å, 2θ 32.17, I = 45
- d = 1.973 Å, 2θ 46.00, I = 36
- d = 1.466 Å, 2θ 63.46, I = 32
- d = 1.601 Å, 2θ 57.58, I = 30
- d = 1.595 Å, 2θ 57.80, I = 21

---

Computed powder diffraction line list
Compound: KUP2Se8
Radiation: Cu Kα X-rays
Structure: a structure optimized by DFT (PBE)
Kinematic intensities with the Lorentz-polarization factor, no thermal factor.

Cell and atoms:
```
KUP2Se8
1.0
3.253 1.878 9.832
-3.253 1.878 9.832
0.000 -3.756 9.832
K U P Se
1 1 2 8
Cartesian
0.000 0.000 0.000 K
0.000 0.000 14.749 U
0.000 0.000 7.263 P
0.000 0.000 22.235 P
-2.277 0.048 13.163 Se
-1.180 -1.948 16.334 Se
0.000 0.000 9.391 Se
1.097 -1.996 13.163 Se
-1.097 1.996 16.334 Se
0.000 0.000 20.106 Se
1.180 1.948 13.163 Se
2.277 -0.048 16.334 Se
```

Most intense lines, 10° ≤ 2θ ≤ 90°, in order of falling intensity:
- d = 2.713 Å, 2θ 33.02, I = 100
- d = 3.088 Å, 2θ 28.92, I = 64
- d = 1.961 Å, 2θ 46.30, I = 45
- d = 4.074 Å, 2θ 21.81, I = 45
- d = 1.878 Å, 2θ 48.48, I = 45
- d = 4.477 Å, 2θ 19.83, I = 45
- d = 5.534 Å, 2θ 16.02, I = 40
- d = 1.544 Å, 2θ 59.92, I = 23

---

Computed powder diffraction line list
Compound: In5S8
Radiation: Cu Kα X-rays
Structure: a structure optimized by DFT (PBE)
Kinematic intensities with the Lorentz-polarization factor, no thermal factor.

Cell and atoms:
```
In5S8
1.0
0.000 5.416 5.416
5.416 0.000 5.416
5.416 5.416 0.000
In S
5 8
Cartesian
0.000 0.000 0.000 In
6.684 4.149 4.149 In
4.149 6.684 4.149 In
4.149 4.149 6.684 In
6.684 6.684 6.684 In
4.089 4.089 4.089 S
6.744 6.744 4.089 S
6.744 4.089 6.744 S
9.377 6.872 6.872 S
6.872 9.377 6.872 S
6.872 6.872 9.377 S
9.377 9.377 9.377 S
4.089 6.744 6.744 S
```

Most intense lines, 10° ≤ 2θ ≤ 90°, in order of falling intensity:
- d = 3.266 Å, 2θ 27.30, I = 100
- d = 1.915 Å, 2θ 47.48, I = 72
- d = 2.708 Å, 2θ 33.08, I = 56
- d = 2.085 Å, 2θ 43.40, I = 50
- d = 6.254 Å, 2θ 14.16, I = 49
- d = 1.410 Å, 2θ 66.27, I = 21
- d = 1.106 Å, 2θ 88.42, I = 21
- d = 5.416 Å, 2θ 16.37, I = 20

---

Computed powder diffraction line list
Compound: BaCaMg2H8
Radiation: Cu Kα X-rays
Structure: a structure optimized by DFT (PBE)
Kinematic intensities with the Lorentz-polarization factor, no thermal factor.

Cell and atoms:
```
BaCaMg2H8
1.0
5.377 0.000 0.000
-2.689 4.657 0.000
0.000 0.000 7.834
Ba Ca Mg H
1 1 2 8
Cartesian
0.000 0.000 0.000 Ba
0.000 0.000 3.917 Ca
0.000 3.105 5.961 Mg
2.689 1.552 1.873 Mg
-0.523 1.436 5.489 H
-1.183 4.392 5.489 H
0.982 1.171 2.344 H
0.000 3.105 7.811 H
2.689 1.552 0.023 H
1.706 3.485 5.489 H
3.872 0.265 2.344 H
3.212 3.221 2.344 H
```

Most intense lines, 10° ≤ 2θ ≤ 90°, in order of falling intensity:
- d = 2.998 Å, 2θ 29.81, I = 100
- d = 4.657 Å, 2θ 19.06, I = 86
- d = 4.003 Å, 2θ 22.21, I = 49
- d = 2.689 Å, 2θ 33.32, I = 48
- d = 7.834 Å, 2θ 11.29, I = 34
- d = 2.001 Å, 2θ 45.31, I = 32
- d = 1.605 Å, 2θ 57.39, I = 30
- d = 1.583 Å, 2θ 58.29, I = 18

---

Computed powder diffraction line list
Compound: K2NbClF6
Radiation: Cu Kα X-rays
Structure: a structure optimized by DFT (PBE)
Kinematic intensities with the Lorentz-polarization factor, no thermal factor.

Cell and atoms:
```
K2NbClF6
1.0
5.083 0.000 0.000
2.140 6.611 0.000
2.124 1.591 6.454
K Nb Cl F
2 1 1 6
Cartesian
2.057 2.631 2.075 K
7.290 5.571 4.379 K
0.000 0.000 0.000 Nb
4.674 4.101 3.227 Cl
2.823 6.719 1.817 F
2.817 3.376 6.117 F
5.885 7.368 5.811 F
3.462 0.834 0.643 F
6.530 4.826 0.337 F
6.524 1.483 4.637 F
```

Most intense lines, 10° ≤ 2θ ≤ 90°, in order of falling intensity:
- d = 4.088 Å, 2θ 21.74, I = 100
- d = 6.437 Å, 2θ 13.76, I = 89
- d = 4.706 Å, 2θ 18.86, I = 76
- d = 3.213 Å, 2θ 27.76, I = 68
- d = 2.153 Å, 2θ 41.96, I = 63
- d = 3.223 Å, 2θ 27.68, I = 56
- d = 5.218 Å, 2θ 16.99, I = 41
- d = 3.443 Å, 2θ 25.88, I = 35